Structure and calculated PXRD pattern of HoGe2Pd4 (DFT lattice parameters and positions (PBE); λ = 1.5418 Å (Cu Kα)).

Main lines, in order of rising 2θ (10 to 90 degrees two-theta):
| Position (°2θ) | d/Å | intensity | index |
| --- | --- | --- | --- |
| 34.3 | 2.612 | 100 | 2 1 1 |
| 35.8 | 2.507 | 38 | 3 1 0 |
| 39.7 | 2.269 | 25 | 2 2 1 |
| 43.0 | 2.103 | 40 | 3 1 1 |
| 47.1 | 1.931 | 23 | 0 0 2 |
| 47.3 | 1.923 | 22 | 4 1 0 |
| 60.5 | 1.530 | 16 | 3 1 2 |
| 63.4 | 1.467 | 21 | 5 0 1 |
| 68.9 | 1.363 | 14 | 4 1 2 |
| 79.1 | 1.210 | 10 | 2 1 3 |

Crystal structure
Cell lengths 7.9288, 7.9288, 3.8616 Å; angles 90.00, 90.00, 90.00 degrees
Space group P4_2/mnm (No. 136)
Asymmetric unit:
Ho: 0.0000 0.0000 0.0000 (multiplicity 2)
Ge: 0.2226 0.2226 0.5000 (multiplicity 4)
Pd: 0.0771 0.6743 0.5000 (multiplicity 8)

=====

Structure and calculated PXRD pattern of HoGePd6 (DFT lattice parameters and positions (PBE); λ = 1.5418 Å (Cu Kα)).

Main lines, in order of rising 2θ (10 to 90 degrees two-theta):
| Position (°2θ) | d/Å | intensity | index |
| --- | --- | --- | --- |
| 24.6 | 3.617 | 3 | 1 0 1 |
| 33.1 | 2.705 | 3 | 1 1 1 |
| 38.8 | 2.323 | 100 | 1 1 2 |
| 44.5 | 2.038 | 34 | 2 0 0 |
| 46.3 | 1.962 | 14 | 0 0 4 |
| 64.7 | 1.441 | 11 | 2 2 0 |
| 66.1 | 1.413 | 19 | 2 0 4 |
| 78.0 | 1.224 | 25 | 3 1 2 |
| 80.7 | 1.191 | 10 | 1 1 6 |
| 83.2 | 1.161 | 10 | 2 2 4 |

Crystal structure
Cell lengths 4.0756, 4.0756, 7.8492 Å; angles 90.00, 90.00, 90.00 degrees
Space group P4/mmm (No. 123)
Asymmetric unit:
Ho: 0.0000 0.0000 0.0000 (multiplicity 1)
Ge: 0.0000 0.0000 0.5000 (multiplicity 1)
Pd: 0.0000 0.5000 0.2663 (multiplicity 4)
Pd: 0.5000 0.5000 0.0000 (multiplicity 1)
Pd: 0.5000 0.5000 0.5000 (multiplicity 1)

=====

Structure and calculated PXRD pattern of HoGe3Pd (DFT lattice parameters and positions (PBE); λ = 1.5418 Å (Cu Kα)).

Main lines, in order of rising 2θ (10 to 90 degrees two-theta):
| Position (°2θ) | d/Å | intensity | index |
| --- | --- | --- | --- |
| 21.0 | 4.237 | 36 | 0 1 1 |
| 25.8 | 3.449 | 43 | 1 1 -1 |
| 30.5 | 2.931 | 33 | 0 2 0 |
| 32.4 | 2.761 | 28 | 1 0 -2 |
| 34.5 | 2.597 | 39 | 1 2 0 |
| 35.5 | 2.527 | 84 | 2 1 0 |
| 36.0 | 2.498 | 20 | 1 1 -2 |
| 37.6 | 2.394 | 100 | 1 1 2 |
| 38.0 | 2.367 | 27 | 1 2 1 |
| 45.1 | 2.010 | 60 | 1 2 -2 |

Crystal structure
Cell lengths 5.6108, 5.8610, 6.1430 Å; angles 90.00, 93.49, 90.00 degrees
Space group P2_1 (No. 4)
Asymmetric unit:
Ho: 0.1409 0.0000 0.3118 (multiplicity 2)
Ge: 0.0895 0.0548 0.7990 (multiplicity 2)
Ge: 0.2953 0.4308 0.9959 (multiplicity 2)
Ge: 0.3022 0.4662 0.4526 (multiplicity 2)
Pd: 0.3902 0.7502 0.7426 (multiplicity 2)

=====

Structure and calculated PXRD pattern of Ho2Ge3Pd2 (DFT lattice parameters and positions (PBE); λ = 1.5418 Å (Cu Kα)).

Main lines, in order of rising 2θ (10 to 90 degrees two-theta):
| Position (°2θ) | d/Å | intensity | index |
| --- | --- | --- | --- |
| 29.0 | 3.077 | 55 | 0 0 2 |
| 33.8 | 2.654 | 29 | 3 1 -1 |
| 34.2 | 2.619 | 100 | 1 1 -2 |
| 35.3 | 2.544 | 96 | 3 1 0 |
| 37.9 | 2.375 | 40 | 4 0 0 |
| 38.4 | 2.341 | 76 | 3 1 -2 |
| 40.1 | 2.249 | 51 | 1 1 2 |
| 42.3 | 2.136 | 70 | 0 2 0 |
| 60.2 | 1.537 | 27 | 0 0 4 |
| 67.7 | 1.385 | 27 | 7 1 -2 |

Crystal structure
Cell lengths 10.2684, 4.2722, 6.6436 Å; angles 90.00, 112.29, 90.00 degrees
Space group C2/m (No. 12)
Asymmetric unit:
Ho: 0.1500 0.0000 0.2817 (multiplicity 4)
Ge: 0.0000 0.5000 0.5000 (multiplicity 2)
Ge: 0.1088 0.5000 0.9468 (multiplicity 4)
Pd: 0.1447 0.0000 0.7426 (multiplicity 4)

=====

Structure and calculated PXRD pattern of HoGe4Pd4 (DFT lattice parameters and positions (PBE); λ = 1.5418 Å (Cu Kα)).

Main lines, in order of rising 2θ (10 to 90 degrees two-theta):
| Position (°2θ) | d/Å | intensity | index |
| --- | --- | --- | --- |
| 29.5 | 3.032 | 13 | 1 1 2 |
| 33.9 | 2.645 | 100 | 2 1 1 |
| 35.3 | 2.542 | 26 | 1 0 3 |
| 40.9 | 2.205 | 24 | 2 2 0 |
| 43.6 | 2.077 | 48 | 2 0 3 |
| 45.8 | 1.980 | 14 | 1 0 4 |
| 55.1 | 1.666 | 13 | 3 0 3 |
| 59.3 | 1.559 | 19 | 4 0 0 |
| 76.4 | 1.247 | 14 | 4 2 3 |
| 84.5 | 1.147 | 13 | 5 2 1 |

Crystal structure
Cell lengths 6.2363, 6.2363, 8.3506 Å; angles 90.00, 90.00, 90.00 degrees
Space group P4_2/nmc (No. 137, origin choice 2)
Asymmetric unit:
Ho: 0.2500 0.7500 0.2500 (multiplicity 2)
Ge: 0.0261 0.2500 0.0509 (multiplicity 8)
Pd: 0.0278 0.2500 0.3476 (multiplicity 8)

=====

Structure and calculated PXRD pattern of HoGe4Pd12 (DFT lattice parameters and positions (PBE); λ = 1.5418 Å (Cu Kα)).

Main lines, in order of rising 2θ (10 to 90 degrees two-theta):
| Position (°2θ) | d/Å | intensity | index |
| --- | --- | --- | --- |
| 33.3 | 2.694 | 100 | 3 1 0 |
| 39.6 | 2.277 | 47 | 3 2 1 |
| 47.8 | 1.905 | 14 | 4 2 0 |
| 52.6 | 1.739 | 27 | 4 2 2 |
| 55.0 | 1.671 | 28 | 4 1 3 |
| 63.7 | 1.461 | 11 | 5 0 3 |
| 65.8 | 1.420 | 9 | 6 0 0 |
| 75.7 | 1.256 | 17 | 6 3 1 |
| 79.6 | 1.205 | 6 | 5 3 4 |
| 87.1 | 1.118 | 9 | 7 0 3 |

Crystal structure
Cell lengths 8.5181, 8.5181, 8.5181 Å; angles 90.00, 90.00, 90.00 degrees
Space group Im-3 (No. 204)
Asymmetric unit:
Ho: 0.0000 0.0000 0.0000 (multiplicity 2)
Ge: 0.2500 0.2500 0.2500 (multiplicity 8)
Pd: 0.0000 0.1597 0.3419 (multiplicity 24)

=====

Structure and calculated PXRD pattern of Ho2Ge4Pd (DFT lattice parameters and positions (PBE); λ = 1.5418 Å (Cu Kα)).

Main lines, in order of rising 2θ (10 to 90 degrees two-theta):
| Position (°2θ) | d/Å | intensity | index |
| --- | --- | --- | --- |
| 31.5 | 2.839 | 17 | 1 1 1 |
| 34.1 | 2.628 | 33 | 0 1 5 |
| 34.9 | 2.571 | 100 | 1 1 3 |
| 38.5 | 2.337 | 24 | 1 0 6 |
| 44.3 | 2.044 | 23 | 0 2 0 |
| 44.7 | 2.027 | 22 | 2 0 0 |
| 48.0 | 1.896 | 13 | 1 0 8 |
| 57.4 | 1.605 | 15 | 2 1 5 |
| 60.1 | 1.539 | 13 | 1 2 6 |
| 64.8 | 1.439 | 15 | 2 2 0 |

Crystal structure
Cell lengths 4.0544, 4.0884, 17.1548 Å; angles 90.00, 90.00, 90.00 degrees
Space group Amm2 (No. 38)
Asymmetric unit:
Ho: 0.0000 0.0000 0.0000 (multiplicity 2)
Ho: 0.5000 0.0000 0.2073 (multiplicity 2)
Ge: 0.0000 0.0000 0.3700 (multiplicity 2)
Ge: 0.0000 0.0000 0.6399 (multiplicity 2)
Ge: 0.5000 0.0000 0.5487 (multiplicity 2)
Ge: 0.5000 0.0000 0.8702 (multiplicity 2)
Pd: 0.0000 0.0000 0.7817 (multiplicity 2)

=====

Structure and calculated PXRD pattern of Ho3Ge6Pd20 (DFT lattice parameters and positions (PBE); λ = 1.5418 Å (Cu Kα)).

Main lines, in order of rising 2θ (10 to 90 degrees two-theta):
| Position (°2θ) | d/Å | intensity | index |
| --- | --- | --- | --- |
| 32.1 | 2.793 | 14 | 4 2 0 |
| 35.2 | 2.549 | 28 | 4 2 2 |
| 37.4 | 2.403 | 100 | 3 3 3 |
| 40.9 | 2.208 | 52 | 4 4 0 |
| 42.8 | 2.111 | 25 | 5 3 1 |
| 43.5 | 2.081 | 14 | 6 0 0 |
| 48.3 | 1.883 | 23 | 6 2 2 |
| 63.2 | 1.472 | 26 | 6 6 0 |
| 64.6 | 1.442 | 14 | 5 5 5 |
| 74.4 | 1.275 | 29 | 8 4 4 |

Crystal structure
Cell lengths 12.4886, 12.4886, 12.4886 Å; angles 90.00, 90.00, 90.00 degrees
Space group Fm-3m (No. 225)
Asymmetric unit:
Ho: 0.0000 0.0000 0.0000 (multiplicity 4)
Ho: 0.2500 0.2500 0.2500 (multiplicity 8)
Ge: 0.0000 0.0000 0.2691 (multiplicity 24)
Pd: 0.0000 0.1733 0.1733 (multiplicity 48)
Pd: 0.1194 0.1194 0.3806 (multiplicity 32)

=====

Structure and calculated PXRD pattern of HoGe4Pd6 (DFT lattice parameters and positions (PBE); λ = 1.5418 Å (Cu Kα)).

Main lines, in order of rising 2θ (10 to 90 degrees two-theta):
| Position (°2θ) | d/Å | intensity | index |
| --- | --- | --- | --- |
| 33.5 | 2.675 | 29 | 1 1 1 |
| 36.4 | 2.468 | 100 | 2 0 1 |
| 37.1 | 2.421 | 32 | 2 1 0 |
| 44.1 | 2.053 | 30 | 2 1 1 |
| 46.9 | 1.936 | 24 | 0 0 2 |
| 48.7 | 1.870 | 13 | 3 0 1 |
| 49.3 | 1.849 | 29 | 2 2 0 |
| 61.3 | 1.512 | 15 | 2 1 2 |
| 70.4 | 1.337 | 20 | 2 2 2 |
| 78.7 | 1.216 | 10 | 5 0 1 |

Crystal structure
Cell lengths 7.3973, 7.3973, 3.8722 Å; angles 90.00, 90.00, 120.00 degrees
Space group P-6m2 (No. 187)
Asymmetric unit:
Ho: 0.0000 0.0000 0.0000 (multiplicity 1)
Ge: 0.3333 0.6667 0.0000 (multiplicity 1)
Ge: 0.3788 0.1894 0.5000 (multiplicity 3)
Pd: 0.1977 0.3955 0.5000 (multiplicity 3)
Pd: 0.5355 0.0709 0.0000 (multiplicity 3)

=====

Structure and calculated PXRD pattern of PrHo2Ge2Pd7 (DFT lattice parameters and positions (PBE); λ = 1.5418 Å (Cu Kα)).

Main lines, in order of rising 2θ (10 to 90 degrees two-theta):
| Position (°2θ) | d/Å | intensity | index |
| --- | --- | --- | --- |
| 31.1 | 2.879 | 31 | 0 2 0 |
| 31.8 | 2.818 | 40 | 2 0 -2 |
| 34.0 | 2.636 | 31 | 2 0 -3 |
| 35.9 | 2.504 | 53 | 2 0 2 |
| 36.1 | 2.487 | 35 | 1 1 4 |
| 36.8 | 2.439 | 87 | 0 2 3 |
| 37.3 | 2.408 | 30 | 2 0 -4 |
| 41.7 | 2.165 | 26 | 1 1 5 |
| 42.9 | 2.107 | 35 | 1 1 -6 |
| 44.3 | 2.045 | 100 | 2 2 -1 |

Crystal structure
Cell lengths 5.8142, 5.7585, 13.9649 Å; angles 90.00, 99.52, 90.00 degrees
Space group C2/m (No. 12)
Asymmetric unit:
Pr: 0.0000 0.0000 0.0000 (multiplicity 2)
Ho: 0.1335 0.0000 0.3524 (multiplicity 4)
Ge: 0.1044 0.5000 0.2652 (multiplicity 4)
Pd: 0.0000 0.5000 0.0000 (multiplicity 2)
Pd: 0.1775 0.5000 0.4444 (multiplicity 4)
Pd: 0.1856 0.2497 0.8373 (multiplicity 8)

=====

Structure and calculated PXRD pattern of SmHoGePd (DFT lattice parameters and positions (PBE); λ = 1.5418 Å (Cu Kα)).

Main lines, in order of rising 2θ (10 to 90 degrees two-theta):
| Position (°2θ) | d/Å | intensity | index |
| --- | --- | --- | --- |
| 26.2 | 3.397 | 18 | 1 0 2 |
| 31.7 | 2.819 | 100 | 1 1 1 |
| 32.5 | 2.754 | 30 | 0 0 4 |
| 33.3 | 2.691 | 33 | 0 1 3 |
| 38.8 | 2.322 | 20 | 1 0 4 |
| 39.5 | 2.284 | 59 | 1 1 3 |
| 41.9 | 2.157 | 27 | 2 0 0 |
| 45.9 | 1.978 | 21 | 0 2 0 |
| 54.5 | 1.683 | 16 | 2 1 3 |
| 63.8 | 1.458 | 15 | 2 2 0 |

Crystal structure
Cell lengths 4.3149, 3.9559, 11.0175 Å; angles 90.00, 90.00, 90.00 degrees
Space group Amm2 (No. 38)
Asymmetric unit:
Sm: 0.0000 0.0000 0.0000 (multiplicity 2)
Ho: 0.5000 0.0000 0.2776 (multiplicity 2)
Ge: 0.0000 0.0000 0.7247 (multiplicity 2)
Pd: 0.5000 0.0000 0.5630 (multiplicity 2)

=====

Structure and calculated PXRD pattern of PmHo2Ge4 (DFT lattice parameters and positions (PBE); λ = 1.5418 Å (Cu Kα)).

Main lines, in order of rising 2θ (10 to 90 degrees two-theta):
| Position (°2θ) | d/Å | intensity | index |
| --- | --- | --- | --- |
| 26.5 | 3.365 | 21 | 1 0 3 |
| 29.2 | 3.054 | 23 | 0 0 6 |
| 32.1 | 2.791 | 100 | 1 1 2 |
| 32.2 | 2.780 | 37 | 0 1 5 |
| 36.4 | 2.469 | 19 | 1 1 4 |
| 41.1 | 2.196 | 19 | 1 0 7 |
| 42.4 | 2.134 | 26 | 0 2 0 |
| 42.8 | 2.115 | 27 | 1 1 6 |
| 45.0 | 2.016 | 21 | 2 0 0 |
| 50.6 | 1.804 | 19 | 1 1 8 |

Crystal structure
Cell lengths 4.0316, 4.2677, 18.3242 Å; angles 90.00, 90.00, 90.00 degrees
Space group Immm (No. 71)
Asymmetric unit:
Pm: 0.0000 0.0000 0.0000 (multiplicity 2)
Ho: 0.0000 0.5000 0.3185 (multiplicity 4)
Ge: 0.0000 0.0000 0.4322 (multiplicity 4)
Ge: 0.0000 0.5000 0.1601 (multiplicity 4)